# Li2CoNi
Simulated powder diffraction line list, Cu Kα (weighted mean of Kα1 and Kα2). Input: a structure optimized by DFT (PBE).

Principal peaks in the range 2θ = 10–90°, in order of rising 2θ:
| Position (°2θ) | d_spacing | I/Imax | h k l |
| --- | --- | --- | --- |
| 20.65 | 4.301 | 100 | 0 0 2 |
| 41.10 | 2.196 | 32 | 1 1 0 |
| 42.01 | 2.151 | 21 | 0 0 4 |
| 43.45 | 2.083 | 19 | 0 2 0 |
| 46.43 | 1.956 | 62 | 1 1 2 |
| 48.57 | 1.874 | 19 | 0 2 2 |
| 60.23 | 1.537 | 19 | 1 1 4 |
| 62.03 | 1.496 | 12 | 0 2 4 |

abc: 2.5846 4.1653 8.6025
angles: 90.00 90.00 90.00
Fractional coordinates of all 8 atoms:
Li: 0.0000 0.0000 0.2453
Li: 0.0000 0.0000 0.7547
Li: 0.5000 0.5000 0.2453
Li: 0.5000 0.5000 0.7547
Co: 0.0000 0.5000 0.5000
Co: 0.5000 0.0000 0.5000
Ni: 0.0000 0.5000 0.0000
Ni: 0.5000 0.0000 0.0000